# Li4CrFe3O8
Simulated powder diffraction line list, copper Kα. Input: DFT lattice parameters and positions (GGA+U).

abc: 5.1157 5.8485 10.6849
angles: 74.91 77.68 74.28
Positions (direct):
Li  0.0000  0.0000  0.0000
Li  0.0000  0.5000  0.0000
Li  0.0012  0.1235  0.2492
Li  0.0052  0.7391  0.5015
Li  0.0072  0.3767  0.7467
Li  0.9928  0.6233  0.2533
Li  0.9948  0.2609  0.4985
Li  0.9988  0.8765  0.7508
Cr  0.4958  0.3143  0.1265
Cr  0.5042  0.6857  0.8735
Fe  0.4980  0.4418  0.3748
Fe  0.4976  0.9377  0.3759
Fe  0.4999  0.1862  0.8756
Fe  0.5001  0.8138  0.1244
Fe  0.5024  0.0623  0.6241
Fe  0.5020  0.5582  0.6252
O  0.2661  0.4106  0.5646
O  0.2676  0.1397  0.0682
O  0.2680  0.2915  0.3095
O  0.2712  0.7775  0.3176
O  0.2715  0.5139  0.8179
O  0.2781  0.6541  0.0578
O  0.2804  0.0255  0.8072
O  0.2827  0.8994  0.5611
O  0.7173  0.1006  0.4389
O  0.7196  0.9745  0.1928
O  0.7219  0.3459  0.9422
O  0.7285  0.4861  0.1821
O  0.7288  0.2225  0.6824
O  0.7320  0.7085  0.6905
O  0.7324  0.8603  0.9318
O  0.7339  0.5894  0.4354

The 10 most intense peaks (10 to 90 degrees two-theta), in order of rising 2θ:
2θ = 18.23°, rel. 100, hkl 1 0 0
2θ = 35.22°, rel. 15, hkl 0 0 4
2θ = 35.61°, rel. 14, hkl 0 2 -1
2θ = 36.19°, rel. 12, hkl 1 2 3
2θ = 37.24°, rel. 9, hkl 1 0 4
2θ = 42.50°, rel. 28, hkl 1 0 -4
2θ = 43.15°, rel. 26, hkl 1 -2 1
2θ = 44.02°, rel. 25, hkl 2 2 3
2θ = 62.26°, rel. 7, hkl 0 2 -5
2θ = 63.08°, rel. 14, hkl 1 2 7